Starting from the GGA-PBE geometry in Alexandria, the X-ray diffraction stick pattern of MgZrSi2O7 was computed for a wavelength of 1.5418 Å.
Lines closer than 0.1° are merged.

Crystal structure
```
data_MgZrSi2O7
_cell_length_a 6.5442
_cell_length_b 6.7539
_cell_length_c 9.3409
_cell_angle_alpha 90.00
_cell_angle_beta 90.00
_cell_angle_gamma 90.00
_symmetry_space_group_name_H-M 'I m m a'
_symmetry_Int_Tables_number 74
_symmetry_space_group_name_Hall '-I 2b 2'
loop_
_atom_site_label
_atom_site_fract_x
_atom_site_fract_y
_atom_site_fract_z
Mg1 0.2500 0.2500 0.2500
Zr1 0.0000 0.0000 0.0000
Si1 0.0000 0.0000 0.5000
Si2 0.2500 0.2500 0.7500
O1 0.0000 0.2500 0.1266
O2 0.0000 0.2500 0.4244
O3 0.0000 0.2500 0.8242
O4 0.2037 0.0573 0.6223
```

Principal peaks in the range 2θ from 10° to 90°, most intense first:
h k l	Position (°2θ)	intensity
0 2 2	32.72	100.0
2 0 2	33.44	89.0
2 2 4	55.47	72.2
1 0 1	16.54	46.7
2 0 6	66.57	35.8
1 2 3	41.81	33.4
0 0 2	19.00	29.5
2 4 2	65.32	24.5
4 0 0	56.23	18.2
0 4 0	54.33	18.0
1 2 1	31.31	17.0
3 0 1	42.56	15.9